1.
This entry pairs a crystal structure of Fe5O7F3 with its computed powder diffraction line list. Radiation: Cu Kα, 1.54184 Å. Structure: DFT lattice parameters and positions (PBE+U).
No peak broadening, texture or thermal motion is included.

Peak list (10 most intense, 5° ≤ 2θ ≤ 70°, sorted by position)
- 2θ = 27.08°, I = 100
- 2θ = 35.23°, I = 53
- 2θ = 38.67°, I = 9
- 2θ = 40.35°, I = 16
- 2θ = 53.29°, I = 58
- 2θ = 55.83°, I = 16
- 2θ = 60.88°, I = 9
- 2θ = 63.13°, I = 9
- 2θ = 67.76°, I = 20
- 2θ = 67.84°, I = 11

```
data_Fe5O7F3
_chemical_formula_sum 'Fe10 O14 F6'
_symmetry_space_group_name_H-M 'P 1'
_symmetry_Int_Tables_number 1
_cell_length_a 4.6569
_cell_length_b 15.2178
_cell_length_c 4.6579
_cell_angle_alpha 90.00
_cell_angle_beta 90.04
_cell_angle_gamma 90.00
loop_
_symmetry_equiv_pos_as_xyz
'x,y,z'
loop_
_atom_site_label
_atom_site_type_symbol
_atom_site_fract_x
_atom_site_fract_y
_atom_site_fract_z
Fe1 Fe 0.0000 0.0000 0.0000
Fe2 Fe 0.0088 0.3991 0.0297
Fe3 Fe 0.0088 0.6009 0.0297
Fe4 Fe 0.0429 0.1926 0.0565
Fe5 Fe 0.0429 0.8074 0.0565
Fe6 Fe 0.5214 0.1000 0.5269
Fe7 Fe 0.5214 0.9000 0.5269
Fe8 Fe 0.5392 0.3061 0.4897
Fe9 Fe 0.5392 0.6939 0.4897
Fe10 Fe 0.5422 0.5000 0.5012
O1 O 0.2131 0.0963 0.8262
O2 O 0.2131 0.9037 0.8262
O3 O 0.3327 0.4041 0.3155
O4 O 0.3327 0.5959 0.3155
O5 O 0.3486 0.1993 0.3400
O6 O 0.3486 0.8007 0.3400
O7 O 0.7000 0.0000 0.7039
O8 O 0.7249 0.4024 0.7066
O9 O 0.7249 0.5976 0.7066
O10 O 0.8203 0.0948 0.2157
O11 O 0.8203 0.9052 0.2157
O12 O 0.8330 0.5000 0.2015
O13 O 0.8489 0.2962 0.2101
O14 O 0.8489 0.7038 0.2101
F1 F 0.2238 0.5000 0.8165
F2 F 0.2351 0.2981 0.8229
F3 F 0.2351 0.7019 0.8229
F4 F 0.3156 0.0000 0.3217
F5 F 0.7352 0.2018 0.7235
F6 F 0.7352 0.7982 0.7235
```

=====

2.
This entry pairs a crystal structure of YTaW2O8 with its computed powder diffraction line list. Radiation: Cu Kα, 1.54184 Å. Structure: DFT lattice parameters and positions (PBE+U).
No peak broadening, texture or thermal motion is included.

Peak list (10 most intense, 5° ≤ 2θ ≤ 70°, sorted by position)
- 2θ = 23.85°, I = 80
- 2θ = 28.62°, I = 100
- 2θ = 29.31°, I = 93
- 2θ = 32.74°, I = 43
- 2θ = 34.82°, I = 59
- 2θ = 37.09°, I = 24
- 2θ = 50.50°, I = 31
- 2θ = 51.36°, I = 30
- 2θ = 52.21°, I = 29
- 2θ = 59.78°, I = 22

```
data_YTaW2O8
_chemical_formula_sum 'Y2 Ta2 W4 O16'
_symmetry_space_group_name_H-M 'P 1'
_symmetry_Int_Tables_number 1
_cell_length_a 5.4737
_cell_length_b 5.8425
_cell_length_c 10.9815
_cell_angle_alpha 90.00
_cell_angle_beta 118.02
_cell_angle_gamma 90.00
loop_
_symmetry_equiv_pos_as_xyz
'x,y,z'
loop_
_atom_site_label
_atom_site_type_symbol
_atom_site_fract_x
_atom_site_fract_y
_atom_site_fract_z
Y1 Y 0.0000 0.1647 0.2500
Y2 Y 0.0000 0.8353 0.7500
Ta1 Ta 0.5000 0.1623 0.7500
Ta2 Ta 0.5000 0.8377 0.2500
W1 W 0.2554 0.3487 0.0002
W2 W 0.2554 0.6513 0.5002
W3 W 0.7446 0.3487 0.4998
W4 W 0.7446 0.6513 0.9998
O1 O 0.2065 0.3867 0.6186
O2 O 0.2065 0.6133 0.1186
O3 O 0.2503 0.0977 0.1335
O4 O 0.2503 0.9023 0.6335
O5 O 0.2963 0.1417 0.8594
O6 O 0.2963 0.8583 0.3594
O7 O 0.3145 0.3868 0.3973
O8 O 0.3145 0.6132 0.8973
O9 O 0.6855 0.3868 0.1027
O10 O 0.6855 0.6132 0.6027
O11 O 0.7037 0.1417 0.6406
O12 O 0.7037 0.8583 0.1406
O13 O 0.7497 0.0977 0.3665
O14 O 0.7497 0.9023 0.8665
O15 O 0.7935 0.3867 0.8814
O16 O 0.7935 0.6133 0.3814
```

=====

3.
This entry pairs a crystal structure of V5CoO12 with its computed powder diffraction line list. Radiation: Cu Kα, 1.54184 Å. Structure: DFT lattice parameters and positions (PBE+U).
No peak broadening, texture or thermal motion is included.

Peak list (10 most intense, 5° ≤ 2θ ≤ 70°, sorted by position)
- 2θ = 18.40°, I = 41
- 2θ = 19.45°, I = 48
- 2θ = 23.47°, I = 28
- 2θ = 25.36°, I = 20
- 2θ = 28.12°, I = 100
- 2θ = 30.01°, I = 62
- 2θ = 32.58°, I = 46
- 2θ = 35.04°, I = 26
- 2θ = 44.70°, I = 23
- 2θ = 50.92°, I = 21

```
data_V5CoO12
_chemical_formula_sum 'V5 Co1 O12'
_symmetry_space_group_name_H-M 'P 1'
_symmetry_Int_Tables_number 1
_cell_length_a 6.7956
_cell_length_b 6.7956
_cell_length_c 5.8573
_cell_angle_alpha 104.82
_cell_angle_beta 104.82
_cell_angle_gamma 84.39
loop_
_symmetry_equiv_pos_as_xyz
'x,y,z'
loop_
_atom_site_label
_atom_site_type_symbol
_atom_site_fract_x
_atom_site_fract_y
_atom_site_fract_z
V1 V 0.0000 0.0000 0.0000
V2 V 0.1223 0.4742 0.0130
V3 V 0.3059 0.2880 0.5081
V4 V 0.5258 0.8777 0.9870
V5 V 0.7120 0.6941 0.4919
Co1 Co 0.8291 0.1709 0.5000
O1 O 0.0130 0.7156 0.0345
O2 O 0.1079 0.1191 0.3821
O3 O 0.2763 0.4546 0.3099
O4 O 0.2841 0.4309 0.8017
O5 O 0.2844 0.9870 0.9655
O6 O 0.5383 0.1715 0.5279
O7 O 0.5454 0.7237 0.6901
O8 O 0.5691 0.7159 0.1983
O9 O 0.7272 0.0472 0.1003
O10 O 0.8285 0.4617 0.4721
O11 O 0.8809 0.8921 0.6179
O12 O 0.9528 0.2728 0.8997
```